No. 1
# Ca5Ni15B4
Computed XRD peak list, a wavelength of 1.5418 Å. Input: a PBE-relaxed structure.

Main lines, by intensity (15° ≤ 2θ ≤ 90°):
2θ 44.12, intensity 100, hkl 1 1 8
2θ 41.13, intensity 90, hkl 2 0 1
2θ 38.83, intensity 36, hkl 0 0 12
2θ 42.19, intensity 34, hkl 2 0 3
2θ 35.47, intensity 34, hkl 1 0 9
2θ 74.67, intensity 33, hkl 2 2 0
2θ 37.67, intensity 31, hkl 1 1 4
2θ 20.42, intensity 28, hkl 1 0 1
2θ 50.91, intensity 28, hkl 2 0 9
2θ 69.51, intensity 25, hkl 3 0 8

Cell and atoms:
```
data_Ca5Ni15B4
_chemical_formula_sum 'Ca10 Ni30 B8'
_symmetry_space_group_name_H-M 'P 63/m m c'
_symmetry_Int_Tables_number 194
_symmetry_space_group_name_Hall '-P 6c 2c'
_cell_length_a 5.0844
_cell_length_b 5.0844
_cell_length_c 27.8318
_cell_angle_alpha 90.00
_cell_angle_beta 90.00
_cell_angle_gamma 120.00
loop_
_atom_site_label
_atom_site_type_symbol
_atom_site_fract_x
_atom_site_fract_y
_atom_site_fract_z
Ca1 Ca 0.3333 0.6667 0.0186
Ca2 Ca 0.3333 0.6667 0.1313
Ca3 Ca 0.3333 0.6667 0.2500
Ni1 Ni 0.0000 0.0000 0.0000
Ni2 Ni 0.0000 0.0000 0.2500
Ni3 Ni 0.1644 0.3287 0.5779
Ni4 Ni 0.1672 0.3343 0.6776
Ni5 Ni 0.3333 0.6667 0.7500
B1 B 0.0000 0.0000 0.1282
B2 B 0.3333 0.6667 0.6267
```

***

No. 2
# SiO2
Computed XRD peak list, a wavelength of 1.5418 Å. Input: a PBE-relaxed structure.

Main lines, by intensity (15° ≤ 2θ ≤ 90°):
2θ 21.24, intensity 100, hkl 1 0 -1
2θ 38.41, intensity 57, hkl 2 0 0
2θ 23.46, intensity 34, hkl 0 1 1
2θ 29.70, intensity 34, hkl 1 0 1
2θ 31.62, intensity 28, hkl 0 2 0
2θ 17.36, intensity 26, hkl 0 0 1
2θ 35.14, intensity 23, hkl 0 0 2
2θ 26.50, intensity 20, hkl 1 1 -1
2θ 36.30, intensity 12, hkl 0 2 1
2θ 66.04, intensity 11, hkl 0 4 0

Cell and atoms:
```
data_SiO2
_chemical_formula_sum 'Si4 O8'
_symmetry_space_group_name_H-M 'P 1 m 1'
_symmetry_Int_Tables_number 6
_cell_length_a 4.946
_cell_length_b 5.659
_cell_length_c 5.389
_cell_angle_alpha 90.00
_cell_angle_beta 108.62
_cell_angle_gamma 90.00
loop_
_symmetry_equiv_pos_as_xyz
'x,y,z'
'x,-y,z'
loop_
_atom_site_label
_atom_site_type_symbol
_atom_site_fract_x
_atom_site_fract_y
_atom_site_fract_z
Si1 Si 0.000 0.000 0.000
Si2 Si 0.014 0.500 0.027
Si3 Si 0.428 0.000 0.713
Si4 Si 0.483 0.500 0.517
O1 O 0.320 0.000 0.973
O2 O 0.330 0.262 0.589
O3 O 0.371 0.500 0.187
O4 O 0.760 0.000 0.713
O5 O 0.827 0.500 0.704
O6 O 0.926 0.245 0.130
```

***

No. 3
# Zr2TiSnO8
Computed XRD peak list, a wavelength of 1.5418 Å. Input: a PBE-relaxed structure.

Main lines, by intensity (15° ≤ 2θ ≤ 90°):
2θ 29.32, intensity 100, hkl 1 1 -1
2θ 29.64, intensity 97, hkl 1 1 1
2θ 23.86, intensity 45, hkl 1 1 0
2θ 34.52, intensity 24, hkl 0 0 2
2θ 35.64, intensity 23, hkl 0 2 1
2θ 51.09, intensity 23, hkl 1 3 0
2θ 31.05, intensity 20, hkl 0 2 0
2θ 47.11, intensity 19, hkl 0 2 2
2θ 52.30, intensity 18, hkl 2 2 1
2θ 50.89, intensity 18, hkl 2 0 -2

Cell and atoms:
```
data_Zr2TiSnO8
_chemical_formula_sum 'Zr2 Ti1 Sn1 O8'
_symmetry_space_group_name_H-M 'P 1 2 1'
_symmetry_Int_Tables_number 3
_cell_length_a 4.895
_cell_length_b 5.761
_cell_length_c 5.197
_cell_angle_alpha 90.00
_cell_angle_beta 90.83
_cell_angle_gamma 90.00
loop_
_symmetry_equiv_pos_as_xyz
'x,y,z'
'-x,y,-z'
loop_
_atom_site_label
_atom_site_type_symbol
_atom_site_fract_x
_atom_site_fract_y
_atom_site_fract_z
Zr1 Zr 0.000 0.000 0.000
Zr2 Zr 0.500 0.127 0.500
Ti1 Ti 0.000 0.640 0.500
Sn1 Sn 0.500 0.506 0.000
O1 O 0.219 0.923 0.672
O2 O 0.230 0.719 0.190
O3 O 0.253 0.443 0.666
O4 O 0.284 0.225 0.169
```

***

No. 4
# Dy11Ge18
Computed XRD peak list, a wavelength of 1.5418 Å. Input: a PBE-relaxed structure.

Main lines, by intensity (15° ≤ 2θ ≤ 90°):
2θ 33.46, intensity 100, hkl 2 22 0
2θ 33.93, intensity 94, hkl 2 0 2
2θ 39.14, intensity 86, hkl 5 11 1
2θ 29.16, intensity 82, hkl 3 11 1
2θ 44.53, intensity 66, hkl 0 22 2
2θ 51.02, intensity 34, hkl 7 11 1
2θ 25.54, intensity 22, hkl 4 0 0
2θ 60.46, intensity 21, hkl 5 33 1
2θ 70.29, intensity 20, hkl 7 11 3
2θ 52.04, intensity 19, hkl 4 22 2

Cell and atoms:
```
data_Dy11Ge18
_chemical_formula_sum 'Dy88 Ge144'
_symmetry_space_group_name_H-M 'F d d 2'
_symmetry_Int_Tables_number 43
_symmetry_space_group_name_Hall 'F 2 -2d'
_cell_length_a 13.953
_cell_length_b 63.809
_cell_length_c 5.710
_cell_angle_alpha 90.00
_cell_angle_beta 90.00
_cell_angle_gamma 90.00
loop_
_atom_site_label
_atom_site_type_symbol
_atom_site_fract_x
_atom_site_fract_y
_atom_site_fract_z
Dy1 Dy 0.000 0.000 0.207
Dy2 Dy 0.001 0.318 0.749
Dy3 Dy 0.002 0.363 0.219
Dy4 Dy 0.003 0.455 0.250
Dy5 Dy 0.006 0.226 0.731
Dy6 Dy 0.007 0.091 0.234
Ge1 Ge 0.053 0.091 0.733
Ge2 Ge 0.061 0.229 0.232
Ge3 Ge 0.080 0.364 0.737
Ge4 Ge 0.080 0.454 0.731
Ge5 Ge 0.081 0.317 0.234
Ge6 Ge 0.092 0.003 0.693
Ge7 Ge 0.101 0.041 0.294
Ge8 Ge 0.101 0.141 0.176
Ge9 Ge 0.101 0.177 0.793
```